Computed powder X-ray diffraction pattern of ErTa7O19 for Cu Kα, 1.54184 Å, from the PBE geometry in the Materials Project.

Principal peaks in the range 10° ≤ 2θ ≤ 80°, low angle first:
2θ (°), intensity
16.36, 32.9
17.68, 23.9
26.65, 66.2
28.88, 100.0
29.91, 44.1
33.76, 53.1
36.41, 51.0
50.52, 41.1
54.31, 24.5
58.03, 40.3

Crystal structure
```
data_ErTa7O19
_symmetry_space_group_name_H-M 'P 1'
_symmetry_Int_Tables_number 1
_cell_length_a 6.258
_cell_length_b 6.258
_cell_length_c 20.067
_cell_angle_alpha 90.00
_cell_angle_beta 90.00
_cell_angle_gamma 120.00
loop_
_symmetry_equiv_pos_as_xyz
'x,y,z'
loop_
_atom_site_label
_atom_site_type_symbol
_atom_site_fract_x
_atom_site_fract_y
_atom_site_fract_z
Er1 Er 0.000 0.000 0.000
Er2 Er 0.000 0.000 0.500
Ta1 Ta 0.027 0.333 0.155
Ta2 Ta 0.027 0.333 0.345
Ta3 Ta 0.027 0.694 0.655
Ta4 Ta 0.027 0.694 0.845
Ta5 Ta 0.306 0.333 0.655
Ta6 Ta 0.306 0.333 0.845
Ta7 Ta 0.306 0.973 0.155
Ta8 Ta 0.306 0.973 0.345
Ta9 Ta 0.333 0.667 0.000
Ta10 Ta 0.333 0.667 0.500
Ta11 Ta 0.667 0.694 0.155
Ta12 Ta 0.667 0.694 0.345
Ta13 Ta 0.667 0.973 0.655
Ta14 Ta 0.667 0.973 0.845
O1 O 0.000 0.000 0.131
O2 O 0.000 0.000 0.369
O3 O 0.000 0.000 0.631
O4 O 0.000 0.000 0.869
O5 O 0.040 0.291 0.250
O6 O 0.040 0.750 0.750
O7 O 0.094 0.376 0.055
O8 O 0.094 0.376 0.445
O9 O 0.094 0.718 0.555
O10 O 0.094 0.718 0.945
O11 O 0.250 0.291 0.750
O12 O 0.250 0.960 0.250
O13 O 0.282 0.376 0.555
O14 O 0.282 0.376 0.945
O15 O 0.282 0.906 0.055
O16 O 0.282 0.906 0.445
O17 O 0.333 0.667 0.166
O18 O 0.333 0.667 0.334
O19 O 0.333 0.667 0.666
O20 O 0.333 0.667 0.834
O21 O 0.419 0.086 0.653
O22 O 0.419 0.086 0.847
O23 O 0.419 0.334 0.153
O24 O 0.419 0.334 0.347
O25 O 0.624 0.718 0.055
O26 O 0.624 0.718 0.445
O27 O 0.624 0.906 0.555
O28 O 0.624 0.906 0.945
O29 O 0.666 0.086 0.153
O30 O 0.666 0.086 0.347
O31 O 0.666 0.581 0.653
O32 O 0.666 0.581 0.847
O33 O 0.709 0.750 0.250
O34 O 0.709 0.960 0.750
O35 O 0.914 0.334 0.653
O36 O 0.914 0.334 0.847
O37 O 0.914 0.581 0.153
O38 O 0.914 0.581 0.347
```


Computed powder X-ray diffraction pattern of Er3TaO7 for Cu Kα, 1.54184 Å, from the PBE geometry in the Materials Project.

Principal peaks in the range 10° ≤ 2θ ≤ 80°, low angle first:
2θ (°), intensity
29.22, 94.7
29.43, 100.0
33.95, 48.2
34.07, 25.2
48.86, 49.2
49.05, 16.5
57.76, 16.9
58.10, 37.7
58.16, 11.9
61.07, 10.6

Crystal structure
```
data_Er3TaO7
_symmetry_space_group_name_H-M 'P 1'
_symmetry_Int_Tables_number 1
_cell_length_a 7.429
_cell_length_b 10.526
_cell_length_c 7.508
_cell_angle_alpha 90.00
_cell_angle_beta 90.00
_cell_angle_gamma 90.00
loop_
_symmetry_equiv_pos_as_xyz
'x,y,z'
loop_
_atom_site_label
_atom_site_type_symbol
_atom_site_fract_x
_atom_site_fract_y
_atom_site_fract_z
Er1 Er 0.012 0.250 0.205
Er2 Er 0.248 0.020 0.532
Er3 Er 0.248 0.480 0.532
Er4 Er 0.252 0.520 0.032
Er5 Er 0.252 0.980 0.032
Er6 Er 0.488 0.750 0.705
Er7 Er 0.512 0.250 0.295
Er8 Er 0.748 0.020 0.968
Er9 Er 0.748 0.480 0.968
Er10 Er 0.752 0.520 0.468
Er11 Er 0.752 0.980 0.468
Er12 Er 0.988 0.750 0.795
Ta1 Ta 0.001 0.250 0.748
Ta2 Ta 0.499 0.750 0.248
Ta3 Ta 0.501 0.250 0.752
Ta4 Ta 0.999 0.750 0.252
O1 O 0.036 0.124 0.954
O2 O 0.036 0.376 0.954
O3 O 0.040 0.612 0.418
O4 O 0.040 0.888 0.418
O5 O 0.245 0.616 0.769
O6 O 0.245 0.884 0.769
O7 O 0.248 0.250 0.664
O8 O 0.252 0.750 0.164
O9 O 0.255 0.116 0.269
O10 O 0.255 0.384 0.269
O11 O 0.460 0.112 0.918
O12 O 0.460 0.388 0.918
O13 O 0.464 0.624 0.454
O14 O 0.464 0.876 0.454
O15 O 0.536 0.124 0.546
O16 O 0.536 0.376 0.546
O17 O 0.540 0.612 0.082
O18 O 0.540 0.888 0.082
O19 O 0.745 0.616 0.731
O20 O 0.745 0.884 0.731
O21 O 0.748 0.250 0.836
O22 O 0.752 0.750 0.336
O23 O 0.755 0.116 0.231
O24 O 0.755 0.384 0.231
O25 O 0.960 0.112 0.582
O26 O 0.960 0.388 0.582
O27 O 0.964 0.624 0.046
O28 O 0.964 0.876 0.046
```


Computed powder X-ray diffraction pattern of Er3TaO7 for Cu Kα, 1.54184 Å, from the PBE geometry in the Materials Project.

Principal peaks in the range 10° ≤ 2θ ≤ 80°, low angle first:
2θ (°), intensity
29.22, 100.0
29.66, 98.3
34.12, 74.5
48.48, 17.2
49.01, 53.9
49.63, 10.9
57.87, 30.0
58.04, 12.3
58.30, 12.3
58.64, 25.0

Crystal structure
```
data_Er3TaO7
_symmetry_space_group_name_H-M 'P 1'
_symmetry_Int_Tables_number 1
_cell_length_a 6.417
_cell_length_b 6.417
_cell_length_c 7.511
_cell_angle_alpha 90.00
_cell_angle_beta 90.00
_cell_angle_gamma 69.85
loop_
_symmetry_equiv_pos_as_xyz
'x,y,z'
loop_
_atom_site_label
_atom_site_type_symbol
_atom_site_fract_x
_atom_site_fract_y
_atom_site_fract_z
Er1 Er 0.000 0.000 0.000
Er2 Er 0.000 0.000 0.500
Er3 Er 0.047 0.488 0.750
Er4 Er 0.488 0.047 0.250
Er5 Er 0.512 0.953 0.750
Er6 Er 0.953 0.512 0.250
Ta1 Ta 0.500 0.500 0.000
Ta2 Ta 0.500 0.500 0.500
O1 O 0.116 0.150 0.250
O2 O 0.150 0.116 0.750
O3 O 0.174 0.567 0.031
O4 O 0.174 0.567 0.469
O5 O 0.429 0.571 0.750
O6 O 0.433 0.826 0.031
O7 O 0.433 0.826 0.469
O8 O 0.567 0.174 0.531
O9 O 0.567 0.174 0.969
O10 O 0.571 0.429 0.250
O11 O 0.826 0.433 0.531
O12 O 0.826 0.433 0.969
O13 O 0.850 0.884 0.250
O14 O 0.884 0.850 0.750
```


Computed powder X-ray diffraction pattern of ErTaO3 for Cu Kα, 1.54184 Å, from the PBE geometry in the Materials Project.

Principal peaks in the range 10° ≤ 2θ ≤ 80°, low angle first:
2θ (°), intensity
22.10, 1.1
31.45, 100.0
45.07, 26.6
55.99, 40.5
65.64, 16.8
74.60, 17.6

Crystal structure
```
data_ErTaO3
_symmetry_space_group_name_H-M 'P 1'
_symmetry_Int_Tables_number 1
_cell_length_a 4.023
_cell_length_b 4.023
_cell_length_c 4.023
_cell_angle_alpha 90.00
_cell_angle_beta 90.00
_cell_angle_gamma 90.00
loop_
_symmetry_equiv_pos_as_xyz
'x,y,z'
loop_
_atom_site_label
_atom_site_type_symbol
_atom_site_fract_x
_atom_site_fract_y
_atom_site_fract_z
Er1 Er 0.000 0.000 0.000
Ta1 Ta 0.500 0.500 0.500
O1 O 0.000 0.500 0.500
O2 O 0.500 0.000 0.500
O3 O 0.500 0.500 0.000
```


Computed powder X-ray diffraction pattern of Er3TaO7 for Cu Kα, 1.54184 Å, from the PBE geometry in the Materials Project.

Principal peaks in the range 10° ≤ 2θ ≤ 80°, low angle first:
2θ (°), intensity
29.38, 100.0
33.98, 24.6
34.20, 11.4
48.77, 6.4
48.88, 8.2
48.98, 28.0
58.01, 27.0
58.29, 12.3
60.96, 9.4
79.40, 9.1

Crystal structure
```
data_Er3TaO7
_symmetry_space_group_name_H-M 'P 1'
_symmetry_Int_Tables_number 1
_cell_length_a 6.438
_cell_length_b 6.438
_cell_length_c 7.453
_cell_angle_alpha 90.00
_cell_angle_beta 90.00
_cell_angle_gamma 109.08
loop_
_symmetry_equiv_pos_as_xyz
'x,y,z'
loop_
_atom_site_label
_atom_site_type_symbol
_atom_site_fract_x
_atom_site_fract_y
_atom_site_fract_z
Er1 Er 0.026 0.026 0.000
Er2 Er 0.035 0.501 0.253
Er3 Er 0.499 0.965 0.247
Er4 Er 0.501 0.035 0.747
Er5 Er 0.965 0.499 0.753
Er6 Er 0.974 0.974 0.500
Ta1 Ta 0.498 0.498 0.500
Ta2 Ta 0.502 0.502 0.000
O1 O 0.129 0.871 0.750
O2 O 0.139 0.861 0.250
O3 O 0.172 0.419 0.970
O4 O 0.184 0.440 0.538
O5 O 0.419 0.172 0.030
O6 O 0.430 0.570 0.250
O7 O 0.440 0.184 0.462
O8 O 0.560 0.816 0.962
O9 O 0.570 0.430 0.750
O10 O 0.581 0.828 0.530
O11 O 0.816 0.560 0.038
O12 O 0.828 0.581 0.470
O13 O 0.861 0.139 0.750
O14 O 0.871 0.129 0.250
```


Computed powder X-ray diffraction pattern of ErTaO4 for Cu Kα, 1.54184 Å, from the PBE geometry in the Materials Project.

Principal peaks in the range 10° ≤ 2θ ≤ 80°, low angle first:
2θ (°), intensity
28.32, 100.0
30.29, 83.4
32.57, 22.5
33.84, 24.3
35.48, 19.1
47.27, 17.6
47.67, 24.8
48.93, 24.1
56.06, 16.1
58.29, 13.2

Crystal structure
```
data_ErTaO4
_symmetry_space_group_name_H-M 'P 1'
_symmetry_Int_Tables_number 1
_cell_length_a 6.519
_cell_length_b 6.519
_cell_length_c 5.082
_cell_angle_alpha 110.56
_cell_angle_beta 110.56
_cell_angle_gamma 115.03
loop_
_symmetry_equiv_pos_as_xyz
'x,y,z'
loop_
_atom_site_label
_atom_site_type_symbol
_atom_site_fract_x
_atom_site_fract_y
_atom_site_fract_z
Er1 Er 0.131 0.869 0.750
Er2 Er 0.869 0.131 0.250
Ta1 Ta 0.398 0.602 0.250
Ta2 Ta 0.602 0.398 0.750
O1 O 0.131 0.551 0.341
O2 O 0.223 0.286 0.785
O3 O 0.286 0.223 0.285
O4 O 0.449 0.869 0.159
O5 O 0.551 0.131 0.841
O6 O 0.714 0.777 0.715
O7 O 0.777 0.714 0.215
O8 O 0.869 0.449 0.659
```


Computed powder X-ray diffraction pattern of Er2Te4O11 for Cu Kα, 1.54184 Å, from the PBE geometry in the Materials Project.

Principal peaks in the range 10° ≤ 2θ ≤ 80°, low angle first:
2θ (°), intensity
26.71, 100.0
29.85, 99.2
33.60, 20.7
34.88, 17.5
41.16, 14.9
46.53, 21.5
49.10, 17.8
49.21, 18.0
54.81, 13.6
59.52, 20.2

Crystal structure
```
data_Er2Te4O11
_symmetry_space_group_name_H-M 'P 1'
_symmetry_Int_Tables_number 1
_cell_length_a 6.725
_cell_length_b 6.725
_cell_length_c 16.257
_cell_angle_alpha 104.10
_cell_angle_beta 104.10
_cell_angle_gamma 44.97
loop_
_symmetry_equiv_pos_as_xyz
'x,y,z'
loop_
_atom_site_label
_atom_site_type_symbol
_atom_site_fract_x
_atom_site_fract_y
_atom_site_fract_z
Er1 Er 0.130 0.631 0.963
Er2 Er 0.369 0.870 0.537
Er3 Er 0.631 0.130 0.463
Er4 Er 0.870 0.369 0.037
Te1 Te 0.155 0.590 0.625
Te2 Te 0.158 0.598 0.302
Te3 Te 0.402 0.842 0.198
Te4 Te 0.410 0.845 0.875
Te5 Te 0.590 0.155 0.125
Te6 Te 0.598 0.158 0.802
Te7 Te 0.842 0.402 0.698
Te8 Te 0.845 0.410 0.375
O1 O 0.036 0.827 0.544
O2 O 0.091 0.208 0.166
O3 O 0.146 0.854 0.250
O4 O 0.173 0.964 0.956
O5 O 0.191 0.315 0.373
O6 O 0.208 0.091 0.666
O7 O 0.246 0.339 0.052
O8 O 0.315 0.191 0.873
O9 O 0.339 0.246 0.552
O10 O 0.401 0.551 0.405
O11 O 0.449 0.599 0.095
O12 O 0.551 0.401 0.905
O13 O 0.599 0.449 0.595
O14 O 0.661 0.754 0.448
O15 O 0.685 0.809 0.127
O16 O 0.754 0.661 0.948
O17 O 0.792 0.909 0.334
O18 O 0.809 0.685 0.627
O19 O 0.827 0.036 0.044
O20 O 0.854 0.146 0.750
O21 O 0.909 0.792 0.834
O22 O 0.964 0.173 0.456
```


Computed powder X-ray diffraction pattern of Er6TeO12 for Cu Kα, 1.54184 Å, from the PBE geometry in the Materials Project.

Principal peaks in the range 10° ≤ 2θ ≤ 80°, low angle first:
2θ (°), intensity
15.70, 60.1
16.43, 43.6
17.77, 44.9
22.14, 48.3
28.31, 94.4
28.54, 83.5
29.09, 100.0
29.72, 94.3
31.84, 58.4
31.95, 42.9

Crystal structure
```
data_Er6TeO12
_symmetry_space_group_name_H-M 'P 1'
_symmetry_Int_Tables_number 1
_cell_length_a 6.414
_cell_length_b 6.572
_cell_length_c 9.713
_cell_angle_alpha 75.56
_cell_angle_beta 79.82
_cell_angle_gamma 61.87
loop_
_symmetry_equiv_pos_as_xyz
'x,y,z'
loop_
_atom_site_label
_atom_site_type_symbol
_atom_site_fract_x
_atom_site_fract_y
_atom_site_fract_z
Er1 Er 0.058 0.299 0.161
Er2 Er 0.261 0.103 0.771
Er3 Er 0.296 0.804 0.499
Er4 Er 0.704 0.196 0.501
Er5 Er 0.739 0.897 0.229
Er6 Er 0.942 0.701 0.839
Te1 Te 0.000 0.500 0.500
O1 O 0.029 0.531 0.300
O2 O 0.073 0.172 0.541
O3 O 0.161 0.288 0.942
O4 O 0.211 0.806 0.747
O5 O 0.327 0.435 0.505
O6 O 0.371 0.995 0.291
O7 O 0.629 0.005 0.709
O8 O 0.673 0.565 0.495
O9 O 0.789 0.194 0.253
O10 O 0.839 0.712 0.058
O11 O 0.927 0.828 0.459
O12 O 0.971 0.469 0.700
```


Computed powder X-ray diffraction pattern of Er2TeO2 for Cu Kα, 1.54184 Å, from the PBE geometry in the Materials Project.

Principal peaks in the range 10° ≤ 2θ ≤ 80°, low angle first:
2θ (°), intensity
27.22, 59.2
29.31, 78.9
32.53, 100.0
36.61, 72.4
37.60, 33.6
46.75, 68.8
52.24, 31.2
58.11, 20.2
61.48, 47.2
77.67, 17.8

Crystal structure
```
data_Er2TeO2
_symmetry_space_group_name_H-M 'P 1'
_symmetry_Int_Tables_number 1
_cell_length_a 3.886
_cell_length_b 3.886
_cell_length_c 14.353
_cell_angle_alpha 90.00
_cell_angle_beta 90.00
_cell_angle_gamma 120.00
loop_
_symmetry_equiv_pos_as_xyz
'x,y,z'
loop_
_atom_site_label
_atom_site_type_symbol
_atom_site_fract_x
_atom_site_fract_y
_atom_site_fract_z
Er1 Er 0.333 0.667 0.097
Er2 Er 0.333 0.667 0.403
Er3 Er 0.667 0.333 0.597
Er4 Er 0.667 0.333 0.903
Te1 Te 0.000 0.000 0.250
Te2 Te 0.000 0.000 0.750
O1 O 0.333 0.667 0.560
O2 O 0.333 0.667 0.940
O3 O 0.667 0.333 0.060
O4 O 0.667 0.333 0.440
```


Computed powder X-ray diffraction pattern of Er2TeO2 for Cu Kα, 1.54184 Å, from the PBE geometry in the Materials Project.

Principal peaks in the range 10° ≤ 2θ ≤ 80°, low angle first:
2θ (°), intensity
29.35, 100.0
36.59, 48.6
37.48, 16.4
46.51, 7.8
46.85, 32.9
56.25, 16.3
58.15, 13.8
60.87, 11.3
61.48, 22.7
76.15, 13.5

Crystal structure
```
data_Er2TeO2
_symmetry_space_group_name_H-M 'P 1'
_symmetry_Int_Tables_number 1
_cell_length_a 3.878
_cell_length_b 3.878
_cell_length_c 7.199
_cell_angle_alpha 90.00
_cell_angle_beta 90.00
_cell_angle_gamma 120.00
loop_
_symmetry_equiv_pos_as_xyz
'x,y,z'
loop_
_atom_site_label
_atom_site_type_symbol
_atom_site_fract_x
_atom_site_fract_y
_atom_site_fract_z
Er1 Er 0.333 0.667 0.306
Er2 Er 0.667 0.333 0.694
Te1 Te 0.000 0.000 0.000
O1 O 0.333 0.667 0.620
O2 O 0.667 0.333 0.380
```